Record 1
The following is a theoretical X-ray powder pattern of Tb2Ho3Te6. It was derived from a crystal structure in Alexandria, relaxed with PBE, using Cu Kα X-rays.

Atomic structure:
Cell lengths 7.515, 12.940, 7.483 Å; angles 90.00, 109.61, 90.00 degrees
Space group C2/m (No. 12)
Asymmetric unit:
Tb1 0.000 0.164 0.000
Ho1 0.000 0.000 0.500
Ho2 0.000 0.329 0.500
Te1 0.239 0.500 0.752
Te2 0.242 0.339 0.245

Peak list (10 most intense, 5° ≤ 2θ ≤ 70°, by angle)
2θ = 29.1°, rel. 51
2θ = 29.3°, rel. 100
2θ = 41.7°, rel. 38
2θ = 41.8°, rel. 75
2θ = 51.6°, rel. 10
2θ = 51.9°, rel. 30
2θ = 60.7°, rel. 12
2θ = 68.4°, rel. 9
2θ = 68.6°, rel. 25
2θ = 68.8°, rel. 17

Record 2
The following is a theoretical X-ray powder pattern of Tb4HoTe7. It was derived from a crystal structure in Alexandria, relaxed with PBE, using Cu Kα X-rays.

Atomic structure:
Cell lengths 14.321, 4.246, 13.192 Å; angles 90.00, 104.18, 90.00 degrees
Space group Cm (No. 8)
Asymmetric unit:
Tb1 0.000 0.000 0.000
Tb2 0.086 0.500 0.389
Tb3 0.184 0.000 0.763
Tb4 0.385 0.500 0.575
Ho1 0.270 0.500 0.152
Te1 0.046 0.500 0.624
Te2 0.128 0.500 0.927
Te3 0.144 0.000 0.225
Te4 0.224 0.000 0.528
Te5 0.347 0.500 0.792
Te6 0.384 0.000 0.076
Te7 0.422 0.500 0.358

Peak list (10 most intense, 5° ≤ 2θ ≤ 70°, by angle)
2θ = 21.1°, rel. 51
2θ = 27.1°, rel. 53
2θ = 27.7°, rel. 44
2θ = 28.2°, rel. 85
2θ = 28.5°, rel. 46
2θ = 29.6°, rel. 100
2θ = 30.5°, rel. 77
2θ = 37.0°, rel. 53
2θ = 42.2°, rel. 46
2θ = 42.6°, rel. 64

Record 3
The following is a theoretical X-ray powder pattern of Tb2Ho2Te5. It was derived from a crystal structure in Alexandria, relaxed with PBE, using Cu Kα X-rays.

Atomic structure:
Cell lengths 6.064, 18.460, 6.126 Å; angles 90.00, 90.00, 90.00 degrees
Space group Cmmm (No. 65)
Asymmetric unit:
Tb1 0.000 0.157 0.000
Ho1 0.000 0.316 0.500
Te1 0.000 0.000 0.000
Te2 0.000 0.153 0.500
Te3 0.000 0.332 0.000

Peak list (10 most intense, 5° ≤ 2θ ≤ 70°, by angle)
2θ = 9.6°, rel. 100
2θ = 19.2°, rel. 22
2θ = 29.0°, rel. 55
2θ = 29.2°, rel. 67
2θ = 29.5°, rel. 66
2θ = 37.2°, rel. 15
2θ = 41.6°, rel. 42
2θ = 41.9°, rel. 93
2θ = 51.8°, rel. 45
2θ = 69.1°, rel. 21

Record 4
The following is a theoretical X-ray powder pattern of Tb3Ho2Te8. It was derived from a crystal structure in Alexandria, relaxed with PBE, using Cu Kα X-rays.

Atomic structure:
Cell lengths 15.304, 8.698, 7.502 Å; angles 90.00, 108.59, 90.00 degrees
Space group C2/m (No. 12)
Asymmetric unit:
Tb1 0.000 0.000 0.000
Tb2 0.000 0.258 0.500
Ho1 0.250 0.000 0.831
Te1 0.118 0.500 0.395
Te2 0.122 0.000 0.417
Te3 0.123 0.249 0.914

Peak list (10 most intense, 5° ≤ 2θ ≤ 70°, by angle)
2θ = 18.6°, rel. 34
2θ = 21.3°, rel. 23
2θ = 25.1°, rel. 71
2θ = 31.4°, rel. 53
2θ = 31.5°, rel. 100
2θ = 37.5°, rel. 54
2θ = 37.7°, rel. 29
2θ = 41.5°, rel. 32
2θ = 41.7°, rel. 63
2θ = 52.9°, rel. 25

Record 5
The following is a theoretical X-ray powder pattern of TbY3Ho2Te6. It was derived from a crystal structure in Alexandria, relaxed with PBE, using Cu Kα X-rays.

Atomic structure:
Cell lengths 18.988, 4.342, 8.748 Å; angles 90.00, 103.31, 90.00 degrees
Space group C2/m (No. 12)
Asymmetric unit:
Tb1 0.000 0.000 0.000
Y1 0.000 0.000 0.500
Y2 0.165 0.500 0.833
Ho1 0.166 0.500 0.331
Te1 0.001 0.500 0.251
Te2 0.168 0.000 0.085
Te3 0.168 0.000 0.581

Peak list (10 most intense, 5° ≤ 2θ ≤ 70°, by angle)
2θ = 29.0°, rel. 100
2θ = 41.3°, rel. 13
2θ = 41.5°, rel. 50
2θ = 41.6°, rel. 12
2θ = 51.2°, rel. 14
2θ = 51.5°, rel. 13
2θ = 60.1°, rel. 12
2θ = 67.8°, rel. 6
2θ = 68.1°, rel. 23
2θ = 68.3°, rel. 6

Record 6
The following is a theoretical X-ray powder pattern of Tb3YHo3Te8. It was derived from a crystal structure in Alexandria, relaxed with PBE, using Cu Kα X-rays.

Atomic structure:
Cell lengths 8.6800, 8.6800, 21.2550 Å; angles 90.00, 90.00, 120.00 degrees
Space group R-3m (No. 166, hexagonal axes)
Asymmetric unit:
Tb1 0.0000 0.5000 0.0000
Y1 0.0000 0.0000 0.5000
Ho1 0.0000 0.5000 0.5000
Te1 0.0000 0.0000 0.2490
Te2 0.0092 0.5046 0.7487

Peak list (10 most intense, 5° ≤ 2θ ≤ 70°, by angle)
2θ = 14.4°, rel. 6
2θ = 20.5°, rel. 6
2θ = 29.1°, rel. 100
2θ = 32.6°, rel. 4
2θ = 35.8°, rel. 3
2θ = 41.6°, rel. 76
2θ = 44.3°, rel. 2
2θ = 51.6°, rel. 27
2θ = 60.3°, rel. 12
2θ = 68.4°, rel. 34

Record 7
The following is a theoretical X-ray powder pattern of Tb6Ho2Th. It was derived from a crystal structure in Alexandria, relaxed with PBE, using Cu Kα X-rays.

Atomic structure:
Cell lengths 3.5691, 3.5691, 26.3193 Å; angles 90.00, 90.00, 120.00 degrees
Space group P-6m2 (No. 187)
Asymmetric unit:
Tb1 0.0000 0.0000 0.0656
Tb2 0.0000 0.0000 0.2800
Tb3 0.3333 0.6667 0.3894
Ho1 0.3333 0.6667 0.1711
Th1 0.0000 0.0000 0.5000

Peak list (10 most intense, 5° ≤ 2θ ≤ 70°, by angle)
2θ = 28.9°, rel. 46
2θ = 30.6°, rel. 51
2θ = 32.0°, rel. 65
2θ = 33.6°, rel. 100
2θ = 42.6°, rel. 29
2θ = 51.2°, rel. 36
2θ = 57.4°, rel. 31
2θ = 60.8°, rel. 40
2θ = 61.6°, rel. 10
2θ = 62.6°, rel. 17

Record 8
The following is a theoretical X-ray powder pattern of Tb3HoTh2. It was derived from a crystal structure in Alexandria, relaxed with PBE, using Cu Kα X-rays.

Atomic structure:
Cell lengths 10.039, 3.575, 10.671 Å; angles 90.00, 90.09, 90.00 degrees
Space group P2_1/m (No. 11)
Asymmetric unit:
Tb1 0.124 0.250 0.251
Tb2 0.133 0.250 0.918
Tb3 0.369 0.750 0.417
Ho1 0.376 0.750 0.750
Th1 0.122 0.250 0.582
Th2 0.379 0.750 0.083

Peak list (10 most intense, 5° ≤ 2θ ≤ 70°, by angle)
2θ = 30.7°, rel. 100
2θ = 30.8°, rel. 33
2θ = 35.6°, rel. 45
2θ = 35.8°, rel. 22
2θ = 51.1°, rel. 8
2θ = 51.4°, rel. 40
2θ = 60.9°, rel. 20
2θ = 61.0°, rel. 19
2θ = 61.2°, rel. 14
2θ = 63.9°, rel. 8

Record 9
The following is a theoretical X-ray powder pattern of Tb6HoTh2. It was derived from a crystal structure in Alexandria, relaxed with PBE, using Cu Kα X-rays.

Atomic structure:
Cell lengths 3.5694, 3.5694, 26.3561 Å; angles 90.00, 90.00, 120.00 degrees
Space group P-6m2 (No. 187)
Asymmetric unit:
Tb1 0.0000 0.0000 0.0634
Tb2 0.0000 0.0000 0.2828
Tb3 0.3333 0.6667 0.3920
Ho1 0.0000 0.0000 0.5000
Th1 0.3333 0.6667 0.1711

Peak list (10 most intense, 5° ≤ 2θ ≤ 70°, by angle)
2θ = 28.9°, rel. 46
2θ = 30.5°, rel. 49
2θ = 30.7°, rel. 20
2θ = 32.0°, rel. 61
2θ = 33.6°, rel. 100
2θ = 42.5°, rel. 30
2θ = 51.2°, rel. 38
2θ = 57.3°, rel. 32
2θ = 60.8°, rel. 45
2θ = 62.6°, rel. 17

Record 10
The following is a theoretical X-ray powder pattern of Tb4Ho3Th. It was derived from a crystal structure in Alexandria, relaxed with PBE, using Cu Kα X-rays.

Atomic structure:
Cell lengths 23.270, 3.449, 6.728 Å; angles 90.00, 106.77, 90.00 degrees
Space group C2/m (No. 12)
Asymmetric unit:
Tb1 0.124 0.000 0.364
Tb2 0.241 0.500 0.239
Ho1 0.000 0.000 0.500
Ho2 0.124 0.000 0.884
Th1 0.000 0.500 0.000

Peak list (10 most intense, 5° ≤ 2θ ≤ 70°, by angle)
2θ = 29.1°, rel. 29
2θ = 31.1°, rel. 100
2θ = 32.1°, rel. 44
2θ = 32.8°, rel. 19
2θ = 33.3°, rel. 51
2θ = 37.6°, rel. 19
2θ = 43.9°, rel. 18
2θ = 53.1°, rel. 24
2θ = 56.6°, rel. 17
2θ = 62.8°, rel. 27

Record 11
The following is a theoretical X-ray powder pattern of Tb3Ho5Th3. It was derived from a crystal structure in Alexandria, relaxed with PBE, using Cu Kα X-rays.

Atomic structure:
Cell lengths 3.544, 21.751, 9.328 Å; angles 90.00, 90.00, 90.00 degrees
Space group Imm2 (No. 44)
Asymmetric unit:
Tb1 0.000 0.000 0.000
Tb2 0.000 0.389 0.318
Ho1 0.000 0.000 0.638
Ho2 0.000 0.140 0.494
Ho3 0.000 0.141 0.143
Th1 0.000 0.241 0.818
Th2 0.000 0.500 0.819

Peak list (10 most intense, 5° ≤ 2θ ≤ 70°, by angle)
2θ = 31.3°, rel. 66
2θ = 31.6°, rel. 100
2θ = 32.0°, rel. 42
2θ = 32.9°, rel. 33
2θ = 35.5°, rel. 16
2θ = 43.3°, rel. 25
2θ = 51.6°, rel. 21
2θ = 57.9°, rel. 25
2θ = 58.4°, rel. 26
2θ = 61.6°, rel. 19

Record 12
The following is a theoretical X-ray powder pattern of TbHo5Th2. It was derived from a crystal structure in Alexandria, relaxed with PBE, using Cu Kα X-rays.

Atomic structure:
Cell lengths 6.521, 13.242, 11.882 Å; angles 90.00, 90.00, 90.00 degrees
Space group Imma (No. 74)
Asymmetric unit:
Tb1 0.000 0.250 0.205
Ho1 0.000 0.118 0.968
Ho2 0.000 0.250 0.486
Ho3 0.250 0.017 0.250
Th1 0.000 0.000 0.500
Th2 0.250 0.250 0.750

Peak list (10 most intense, 5° ≤ 2θ ≤ 70°, by angle)
2θ = 26.9°, rel. 19
2θ = 30.1°, rel. 40
2θ = 30.9°, rel. 16
2θ = 31.3°, rel. 100
2θ = 35.0°, rel. 21
2θ = 38.0°, rel. 33
2θ = 40.8°, rel. 13
2θ = 54.2°, rel. 12
2θ = 55.7°, rel. 11
2θ = 65.1°, rel. 11